# YMg6CoO8
Calculated powder diffraction line list, Cu Kα (weighted mean of Kα1 and Kα2). Input: the PBE+U geometry in Alexandria.
Neutral-atom scattering factors, no anomalous dispersion.

Cell and atoms:
Cell lengths 4.3781, 4.3781, 8.7958 Å; angles 90.00, 90.00, 90.00 degrees
Element x y z (fractional)
Y: 0.0000 0.0000 0.0000
Mg: 0.0000 0.0000 0.5000
Mg: 0.0000 0.5000 0.2600
Mg: 0.0000 0.5000 0.7400
Mg: 0.5000 0.0000 0.2600
Mg: 0.5000 0.0000 0.7400
Mg: 0.5000 0.5000 0.5000
Co: 0.5000 0.5000 0.0000
O: 0.0000 0.0000 0.2611
O: 0.0000 0.0000 0.7389
O: 0.0000 0.5000 0.0000
O: 0.0000 0.5000 0.5000
O: 0.5000 0.0000 0.0000
O: 0.5000 0.0000 0.5000
O: 0.5000 0.5000 0.2660
O: 0.5000 0.5000 0.7340

Most intense lines, 5 to 70 degrees two-theta, in order of falling intensity:
2θ/deg, intensity, h k l
41.24, 100, 2 0 0
10.06, 62, 0 0 1
59.59, 57, 2 0 4
35.46, 50, 1 1 2
41.05, 49, 0 0 4
59.74, 29, 2 2 0
30.61, 25, 1 1 1
20.20, 21, 0 0 2
42.51, 17, 1 1 3
28.83, 17, 1 1 0